No. 1
Diffraction record for Nd2PtI2. The PXRD pattern is simulated, not measured: it uses a structure optimized by DFT (PBE) and copper Kα.

Crystal structure
Unit cell a=12.0745 b=12.0745 c=12.0745 alpha=20.22 beta=20.22 gamma=20.22
Fractional coordinates of all 5 atoms:
Nd  0.1205  0.1205  0.1205
Nd  0.8795  0.8795  0.8795
Pt  0.5000  0.5000  0.5000
I  0.2748  0.2748  0.2748
I  0.7252  0.7252  0.7252

Top 10 peaks for 10 to 90 degrees two-theta, by angle:
2θ 27.35, 3.261 Å, rel. 100.0; 2θ 31.64, 2.828 Å, rel. 58.5; 2θ 41.22, 2.190 Å, rel. 43.1; 2θ 42.65, 2.120 Å, rel. 45.0; 2θ 43.37, 2.086 Å, rel. 15.4; 2θ 51.41, 1.777 Å, rel. 17.6; 2θ 60.81, 1.523 Å, rel. 13.7; 2θ 64.57, 1.443 Å, rel. 16.0; 2θ 68.94, 1.362 Å, rel. 14.6; 2θ 77.10, 1.237 Å, rel. 13.8

=====

No. 2
Diffraction record for Lu2PuMg. The PXRD pattern is simulated, not measured: it uses a structure optimized by DFT (PBE) and copper Kα.

Crystal structure
Unit cell a=3.3985 b=3.3985 c=9.4059 alpha=90.00 beta=90.00 gamma=90.00
Fractional coordinates of all 4 atoms:
Lu  0.0000  0.0000  0.2442
Lu  0.0000  0.0000  0.7558
Pu  0.5000  0.5000  0.5000
Mg  0.5000  0.5000  0.0000

Top 10 peaks for 10 to 90 degrees two-theta, by angle:
2θ 27.91, 3.196 Å, rel. 19.4; 2θ 32.51, 2.755 Å, rel. 100.0; 2θ 37.42, 2.403 Å, rel. 34.5; 2θ 38.28, 2.351 Å, rel. 16.0; 2θ 53.96, 1.699 Å, rel. 12.2; 2θ 54.61, 1.681 Å, rel. 23.3; 2θ 64.43, 1.446 Å, rel. 28.7; 2θ 65.58, 1.424 Å, rel. 13.3; 2θ 68.08, 1.377 Å, rel. 12.1; 2θ 89.90, 1.091 Å, rel. 12.0

=====

No. 3
Diffraction record for Nd2NiAu3. The PXRD pattern is simulated, not measured: it uses a structure optimized by DFT (PBE) and copper Kα.

Crystal structure
Unit cell a=3.7591 b=4.2884 c=8.5164 alpha=90.00 beta=90.00 gamma=90.00
Fractional coordinates of all 6 atoms:
Nd  0.0000  0.0000  0.0000
Nd  0.0000  0.5000  0.4649
Ni  0.5000  0.0000  0.3256
Au  0.5000  0.0000  0.6258
Au  0.5000  0.5000  0.1607
Au  0.5000  0.5000  0.8316

Top 10 peaks for 10 to 90 degrees two-theta, by angle:
2θ 23.67, 3.759 Å, rel. 18.4; 2θ 31.75, 2.818 Å, rel. 39.5; 2θ 33.40, 2.683 Å, rel. 100.0; 2θ 38.01, 2.367 Å, rel. 65.9; 2θ 42.14, 2.144 Å, rel. 27.5; 2θ 48.43, 1.880 Å, rel. 18.4; 2θ 49.18, 1.853 Å, rel. 19.0; 2θ 53.72, 1.706 Å, rel. 18.1; 2θ 63.17, 1.472 Å, rel. 29.9; 2θ 66.73, 1.402 Å, rel. 15.3

=====

No. 4
Diffraction record for TiAsPOs2. The PXRD pattern is simulated, not measured: it uses a structure optimized by DFT (PBE) and copper Kα.

Crystal structure
Unit cell a=4.3660 b=4.3660 c=4.5538 alpha=90.00 beta=90.00 gamma=90.00
Fractional coordinates of all 5 atoms:
Ti  0.0000  0.0000  0.0000
As  0.5000  0.5000  0.0000
P  0.0000  0.0000  0.5000
Os  0.0000  0.5000  0.5000
Os  0.5000  0.0000  0.5000

Top 10 peaks for 10 to 90 degrees two-theta, by angle:
2θ 19.49, 4.554 Å, rel. 37.9; 2θ 28.92, 3.087 Å, rel. 17.4; 2θ 35.12, 2.555 Å, rel. 100.0; 2θ 39.58, 2.277 Å, rel. 23.0; 2θ 41.36, 2.183 Å, rel. 40.6; 2θ 46.11, 1.969 Å, rel. 16.9; 2θ 58.58, 1.576 Å, rel. 29.0; 2θ 68.94, 1.362 Å, rel. 14.1; 2θ 71.39, 1.321 Å, rel. 25.4; 2θ 74.22, 1.278 Å, rel. 14.4

=====

No. 5
Diffraction record for Er8Tc2Pb. The PXRD pattern is simulated, not measured: it uses a structure optimized by DFT (PBE) and copper Kα.

Crystal structure
Unit cell a=9.2984 b=9.2984 c=7.3712 alpha=109.10 beta=109.10 gamma=29.40
Fractional coordinates of all 11 atoms:
Er  0.0372  0.0372  0.2517
Er  0.2015  0.2015  0.8138
Er  0.3220  0.3220  0.5498
Er  0.3988  0.3988  0.0245
Er  0.6012  0.6012  0.9755
Er  0.6780  0.6780  0.4502
Er  0.7985  0.7985  0.1862
Er  0.9628  0.9628  0.7483
Tc  0.1881  0.1881  0.1960
Tc  0.8119  0.8119  0.8040
Pb  0.5000  0.5000  0.5000

Top 10 peaks for 10 to 90 degrees two-theta, by angle:
2θ 30.22, 2.957 Å, rel. 20.3; 2θ 30.98, 2.887 Å, rel. 56.0; 2θ 31.53, 2.838 Å, rel. 100.0; 2θ 32.55, 2.751 Å, rel. 14.6; 2θ 33.90, 2.644 Å, rel. 64.1; 2θ 35.65, 2.518 Å, rel. 26.7; 2θ 37.49, 2.399 Å, rel. 23.3; 2θ 38.14, 2.360 Å, rel. 52.9; 2θ 38.33, 2.348 Å, rel. 30.6; 2θ 54.55, 1.682 Å, rel. 16.0

=====

No. 6
Diffraction record for CaMg6CuO8. The PXRD pattern is simulated, not measured: it uses a structure optimized by DFT (PBE) and copper Kα.

Crystal structure
Unit cell a=4.3866 b=4.3866 c=8.5707 alpha=90.00 beta=90.00 gamma=90.00
Fractional coordinates of all 16 atoms:
Ca  0.0000  0.0000  0.0000
Mg  0.0000  0.5000  0.2586
Mg  0.0000  0.5000  0.7414
Mg  0.5000  0.0000  0.2586
Mg  0.5000  0.0000  0.7414
Mg  0.5000  0.5000  0.0000
Mg  0.5000  0.5000  0.5000
Cu  0.0000  0.0000  0.5000
O  0.0000  0.0000  0.2650
O  0.0000  0.0000  0.7350
O  0.0000  0.5000  0.0000
O  0.0000  0.5000  0.5000
O  0.5000  0.0000  0.0000
O  0.5000  0.0000  0.5000
O  0.5000  0.5000  0.2510
O  0.5000  0.5000  0.7490

Top 10 peaks for 10 to 90 degrees two-theta, by angle:
2θ 10.32, 8.571 Å, rel. 10.0; 2θ 20.24, 4.387 Å, rel. 15.0; 2θ 29.13, 3.065 Å, rel. 12.6; 2θ 35.73, 2.513 Å, rel. 34.5; 2θ 41.16, 2.193 Å, rel. 100.0; 2θ 42.18, 2.143 Å, rel. 45.2; 2θ 59.61, 1.551 Å, rel. 28.7; 2θ 60.40, 1.533 Å, rel. 53.5; 2θ 71.49, 1.320 Å, rel. 12.0; 2θ 75.71, 1.256 Å, rel. 24.7